Starting from a DFT-relaxed cell (PBE, the Materials Project), the XRD peak list of V2C was computed for a wavelength of 1.5418 Å.
No peak broadening, texture or thermal motion is included.

Main lines, in order of rising 2θ (15 to 90 degrees two-theta):
d_spacing, Rel. int.
2.492, 12
2.278, 29
2.206, 44
2.187, 100
1.682, 16
1.450, 17
1.297, 16
1.223, 13

Cell and atoms:
abc: 4.557 5.734 5.043
angles: 90.00 90.00 90.00
Fractional coordinates of all 12 atoms:
V 0.246 0.118 0.076
V 0.246 0.882 0.576
V 0.254 0.382 0.576
V 0.254 0.618 0.076
V 0.746 0.382 0.924
V 0.746 0.618 0.424
V 0.754 0.118 0.424
V 0.754 0.882 0.924
C 0.000 0.373 0.250
C 0.000 0.627 0.750
C 0.500 0.127 0.750
C 0.500 0.873 0.250

=====

Starting from a DFT-relaxed cell (PBE, the Materials Project), the XRD peak list of VC3 was computed for a wavelength of 1.5418 Å.
No peak broadening, texture or thermal motion is included.

Main lines, in order of rising 2θ (15 to 90 degrees two-theta):
d_spacing, Rel. int.
5.894, 23
3.680, 100
2.964, 52
2.947, 37
2.760, 70
2.674, 63
2.186, 31
2.149, 33

Cell and atoms:
abc: 6.143 6.212 8.021
angles: 71.82 75.10 88.25
Fractional coordinates of all 32 atoms:
V 0.000 0.000 0.000
V 0.017 0.558 0.957
V 0.056 0.496 0.390
V 0.503 0.853 0.045
V 0.530 0.526 0.918
V 0.580 0.982 0.501
V 0.620 0.589 0.430
V 0.960 0.020 0.539
C 0.076 0.071 0.735
C 0.133 0.735 0.670
C 0.184 0.250 0.574
C 0.193 0.837 0.334
C 0.201 0.857 0.795
C 0.218 0.014 0.163
C 0.230 0.456 0.155
C 0.246 0.264 0.089
C 0.250 0.349 0.894
C 0.285 0.819 0.488
C 0.396 0.327 0.575
C 0.427 0.310 0.754
C 0.445 0.835 0.783
C 0.603 0.172 0.821
C 0.648 0.983 0.749
C 0.685 0.538 0.123
C 0.690 0.898 0.236
C 0.707 0.138 0.142
C 0.710 0.200 0.950
C 0.730 0.310 0.225
C 0.801 0.719 0.159
C 0.808 0.695 0.554
C 0.817 0.280 0.381
C 0.902 0.661 0.702

=====

Starting from a DFT-relaxed cell (PBE, the Materials Project), the XRD peak list of V2C was computed for a wavelength of 1.5418 Å.
No peak broadening, texture or thermal motion is included.

Main lines, in order of rising 2θ (15 to 90 degrees two-theta):
d_spacing, Rel. int.
2.505, 16
2.266, 20
2.193, 100
1.681, 18
1.447, 18
1.294, 15
1.219, 14
1.207, 12

Cell and atoms:
abc: 2.893 2.893 4.532
angles: 90.00 90.00 120.00
Fractional coordinates of all 3 atoms:
V 0.333 0.667 0.253
V 0.667 0.333 0.747
C 0.000 0.000 0.000

=====

Starting from a DFT-relaxed cell (PBE, the Materials Project), the XRD peak list of VWC2 was computed for a wavelength of 1.5418 Å.
No peak broadening, texture or thermal motion is included.

Main lines, in order of rising 2θ (15 to 90 degrees two-theta):
d_spacing, Rel. int.
4.934, 68
2.587, 44
2.476, 100
2.467, 33
2.142, 93
1.517, 30
1.513, 30
1.293, 40

Cell and atoms:
abc: 5.236 5.236 5.236
angles: 33.69 33.69 33.69
Fractional coordinates of all 4 atoms:
V 0.000 0.000 0.000
W 0.500 0.500 0.500
C 0.254 0.254 0.254
C 0.746 0.746 0.746

=====

Starting from a DFT-relaxed cell (PBE, the Materials Project), the XRD peak list of WC was computed for a wavelength of 1.5418 Å.
No peak broadening, texture or thermal motion is included.

Main lines, in order of rising 2θ (15 to 90 degrees two-theta):
d_spacing, Rel. int.
2.719, 100
2.355, 45
1.665, 38
1.420, 42
1.359, 11
1.177, 6

Cell and atoms:
abc: 3.330 3.330 3.330
angles: 60.00 60.00 60.00
Fractional coordinates of all 2 atoms:
W 0.000 0.000 0.000
C 0.750 0.750 0.750

=====

Starting from a DFT-relaxed cell (PBE, the Materials Project), the XRD peak list of WC was computed for a wavelength of 1.5418 Å.
No peak broadening, texture or thermal motion is included.

Main lines, in order of rising 2θ (15 to 90 degrees two-theta):
d_spacing, Rel. int.
2.853, 43
2.536, 100
1.895, 95
1.464, 21
1.303, 25
1.268, 12
1.243, 22
1.159, 20

Cell and atoms:
abc: 2.928 2.928 2.853
angles: 90.00 90.00 120.00
Fractional coordinates of all 2 atoms:
W 0.000 0.000 0.000
C 0.667 0.333 0.500

=====

Starting from a DFT-relaxed cell (PBE, the Materials Project), the XRD peak list of WC was computed for a wavelength of 1.5418 Å.
No peak broadening, texture or thermal motion is included.

Main lines, in order of rising 2θ (15 to 90 degrees two-theta):
d_spacing, Rel. int.
2.733, 100
1.933, 93
1.578, 27
1.367, 15
1.222, 35
1.116, 32

Cell and atoms:
abc: 2.733 2.733 2.733
angles: 90.00 90.00 90.00
Fractional coordinates of all 2 atoms:
W 0.000 0.000 0.000
C 0.500 0.500 0.500

=====

Starting from a DFT-relaxed cell (PBE, the Materials Project), the XRD peak list of WC was computed for a wavelength of 1.5418 Å.
No peak broadening, texture or thermal motion is included.

Main lines, in order of rising 2θ (15 to 90 degrees two-theta):
d_spacing, Rel. int.
2.532, 100
2.193, 63
1.550, 42
1.322, 42
1.266, 14
1.096, 7

Cell and atoms:
abc: 3.101 3.101 3.101
angles: 60.00 60.00 60.00
Fractional coordinates of all 2 atoms:
W 0.000 0.000 0.000
C 0.500 0.500 0.500

=====

Starting from a DFT-relaxed cell (PBE, the Materials Project), the XRD peak list of ZrWC2 was computed for a wavelength of 1.5418 Å.
No peak broadening, texture or thermal motion is included.

Main lines, in order of rising 2θ (15 to 90 degrees two-theta):
d_spacing, Rel. int.
5.253, 23
2.627, 34
2.616, 100
2.268, 90
1.606, 30
1.601, 30
1.367, 42
1.308, 15

Cell and atoms:
abc: 5.569 5.569 5.569
angles: 33.41 33.41 33.41
Fractional coordinates of all 4 atoms:
Zr 0.000 0.000 0.000
W 0.500 0.500 0.500
C 0.244 0.244 0.244
C 0.756 0.756 0.756

=====

Starting from a DFT-relaxed cell (PBE, the Materials Project), the XRD peak list of YC was computed for a wavelength of 1.5418 Å.
No peak broadening, texture or thermal motion is included.

Main lines, in order of rising 2θ (15 to 90 degrees two-theta):
d_spacing, Rel. int.
3.155, 100
2.732, 38
1.932, 43
1.648, 42
1.578, 10
1.254, 16
1.222, 12
1.116, 13

Cell and atoms:
abc: 3.864 3.864 3.864
angles: 60.00 60.00 60.00
Fractional coordinates of all 2 atoms:
Y 0.000 0.000 0.000
C 0.750 0.750 0.750

=====

Starting from a DFT-relaxed cell (PBE, the Materials Project), the XRD peak list of YC was computed for a wavelength of 1.5418 Å.
No peak broadening, texture or thermal motion is included.

Main lines, in order of rising 2θ (15 to 90 degrees two-theta):
d_spacing, Rel. int.
2.941, 100
2.547, 81
1.801, 54
1.536, 43
1.470, 18
1.273, 8
1.169, 17
1.139, 23

Cell and atoms:
abc: 3.602 3.602 3.602
angles: 60.00 60.00 60.00
Fractional coordinates of all 2 atoms:
Y 0.000 0.000 0.000
C 0.500 0.500 0.500